This entry pairs a crystal structure of LiSi4NiO10 with its theoretical XRD peak list. Radiation: a wavelength of 1.5418 Å. Structure: a structure optimized by DFT (GGA+U).

Main lines, in order of falling intensity (2θ from 5° to 70°):
| (hkl) | 2theta | d/Å | I/Imax |
| --- | --- | --- | --- |
| 0 1 2 | 23.27 | 3.822 | 100 |
| 1 0 2 | 23.65 | 3.763 | 60 |
| 2 0 -2 | 23.78 | 3.741 | 58 |
| 0 1 1 | 18.63 | 4.764 | 42 |
| 2 1 -3 | 32.15 | 2.784 | 20 |
| 1 1 -1 | 20.61 | 4.310 | 17 |
| 1 2 -4 | 45.78 | 1.982 | 16 |
| 1 0 0 | 12.29 | 7.202 | 12 |
| 2 2 0 | 42.47 | 2.129 | 9 |
| 1 1 3 | 35.52 | 2.527 | 9 |

Structural model:
a b c (Å): 7.7882 5.2721 12.0248
angles (deg): 90.00 112.37 90.00
Space group P2/c (No. 13)
Symmetry-distinct sites (fractional):
Li: 0.0000 0.2402 0.2500 x2
Si: 0.2924 0.4516 0.6468 x4
Si: 0.2928 0.0432 0.9980 x4
Ni: 0.0000 0.2598 0.7500 x2
O: 0.1372 0.4961 0.7054 x4
O: 0.1400 0.0242 0.8607 x4
O: 0.2498 0.1778 0.5786 x4
O: 0.2781 0.3222 0.0516 x4
O: 0.5000 0.0000 0.0000 x2
O: 0.5000 0.4502 0.7500 x2